Record 1
Diffraction record for TiNbB4. The X-ray powder pattern is theoretical, not measured: it uses the GGA-PBE geometry in the Materials Project and a wavelength of 1.5418 Å.

Crystal structure
Unit cell a=3.0759 b=3.0759 c=6.5515 alpha=90.00 beta=90.00 gamma=120.00
Space group P6/mmm (No. 191)
Inequivalent atoms, fractional coordinates:
Ti (0.0000, 0.0000, 0.0000) (multiplicity 1)
Nb (0.0000, 0.0000, 0.5000) (multiplicity 1)
B (0.3333, 0.6667, 0.2413) (multiplicity 4)

Most intense lines, 2θ from 5° to 70°, low angle first:
2theta  intensity
13.52  26
27.22  30
33.64  69
36.41  17
43.80  100
54.32  5
56.16  9
60.17  22
67.08  18
67.25  14

Record 2
Diffraction record for Nb2Hg3SO4F10. The X-ray powder pattern is theoretical, not measured: it uses the GGA-PBE geometry in the Materials Project and a wavelength of 1.5418 Å.

Crystal structure
Unit cell a=16.0301 b=18.6956 c=9.4921 alpha=90.00 beta=90.00 gamma=90.00
Space group Fdd2 (No. 43)
Inequivalent atoms, fractional coordinates:
Nb (0.0601, 0.3071, 0.0000) (multiplicity 16)
Hg (0.0000, 0.0000, 0.2584) (multiplicity 8)
Hg (0.1153, 0.0996, 0.2211) (multiplicity 16)
S (0.0000, 0.0000, 0.8619) (multiplicity 8)
O (0.0408, 0.4462, 0.4514) (multiplicity 16)
O (0.0618, 0.0354, 0.7646) (multiplicity 16)
F (0.0418, 0.2043, 0.0132) (multiplicity 16)
F (0.0581, 0.1812, 0.4865) (multiplicity 16)
F (0.0624, 0.3127, 0.2038) (multiplicity 16)
F (0.0744, 0.3040, 0.7996) (multiplicity 16)
F (0.0772, 0.4088, 0.9934) (multiplicity 16)

Most intense lines, 2θ from 5° to 70°, low angle first:
2theta  intensity
11.82  60
19.65  22
20.99  48
22.01  25
23.81  100
29.16  19
29.36  30
36.00  18
37.92  18
41.34  18